Computed powder X-ray diffraction pattern
Compound: Cs2SiCl2F4
Radiation: Cu Ka
Structure: DFT lattice parameters and positions (PBE)
No peak broadening, texture or thermal motion is included.

Structure:
```
data_Cs2SiCl2F4
_space_group_name_H-M_alt 'C 1 2/m 1'
_space_group_IT_number 12
_cell_length_a 10.8377
_cell_length_b 6.9337
_cell_length_c 6.3170
_cell_angle_alpha 90.00
_cell_angle_beta 97.31
_cell_angle_gamma 90.00
loop_
_space_group_symop_operation_xyz
'x,y,z'
'-x,-y,-z'
'-x,y,-z'
'x,-y,z'
'x+1/2,y+1/2,z'
'-x+1/2,-y+1/2,-z'
'-x+1/2,y+1/2,-z'
'x+1/2,-y+1/2,z'
loop_
_atom_site_label
_atom_site_type_symbol
_atom_site_fract_x
_atom_site_fract_y
_atom_site_fract_z
Cs1 Cs 0.1744 0.0000 0.2175
Si1 Si 0.0000 0.5000 0.0000
Cl1 Cl 0.1703 0.5000 0.2569
F1 F 0.0679 0.3258 0.8654
```

Principal peaks in the range 2θ = 10–90°, by angle:
| (hkl) | 2θ/deg | Rel. int. |
| --- | --- | --- |
| 0 0 1 | 14.14 | 63 |
| 1 1 -1 | 20.08 | 60 |
| 2 0 -1 | 20.35 | 100 |
| 1 1 1 | 21.53 | 100 |
| 0 2 0 | 25.70 | 82 |
| 3 1 0 | 28.03 | 65 |
| 0 0 2 | 28.49 | 54 |
| 2 2 -1 | 33.00 | 70 |
| 4 0 -1 | 34.60 | 48 |
| 2 2 1 | 34.86 | 84 |
| 0 2 2 | 38.74 | 41 |
| 2 2 -2 | 40.82 | 48 |